The following is a theoretical PXRD pattern of ZnAg2O4. It was derived from a cell relaxed with GGA-PBE, using Cu Ka.
Lines closer than 0.1° are merged.

Main lines, in order of rising 2θ (2θ from 10° to 90°):
h k l	d [Å]	Rel. int.
1 1 3	3.137	100
0 0 4	2.910	30
0 4 0	2.767	44
2 2 0	2.664	70
1 3 3	2.447	33
1 5 3	1.833	33

Structural model:
a = 6.0786 Å, b = 11.0673 Å, c = 11.6416 Å
α = 90.00°, β = 90.00°, γ = 90.00°
Space group Fddd (No. 70, origin choice 2)
Inequivalent atoms, fractional coordinates:
Zn (0.1250, 0.1250, 0.1250)
Ag (0.1250, 0.1250, 0.4918)
O (0.0583, 0.3053, 0.4985)


The following is a theoretical PXRD pattern of ZnAg2O4. It was derived from a cell relaxed with GGA-PBE, using Cu Ka.
Lines closer than 0.1° are merged.

Main lines, in order of rising 2θ (2θ from 10° to 90°):
h k l	d [Å]	Rel. int.
1 0 1	5.229	42
1 0 3	3.192	100
0 0 4	2.849	29
2 0 2	2.615	49
2 1 1	2.565	92
2 2 4	1.680	59

Structural model:
a = 5.8855 Å, b = 5.8855 Å, c = 11.3977 Å
α = 90.00°, β = 90.00°, γ = 90.00°
Space group I4_1/amd (No. 141, origin choice 2)
Inequivalent atoms, fractional coordinates:
Zn (0.0000, 0.2500, 0.3750)
Ag (0.0000, 0.0000, 0.0000)
O (0.0000, 0.0100, 0.7374)


The following is a theoretical PXRD pattern of ZnAg2O4. It was derived from a cell relaxed with GGA-PBE, using Cu Ka.
Lines closer than 0.1° are merged.

Main lines, in order of rising 2θ (2θ from 10° to 90°):
h k l	d [Å]	Rel. int.
0 1 -1	6.067	100
1 0 -1	3.119	63
0 2 -2	3.034	59
1 1 0	2.692	58
0 0 3	2.625	50
1 -2 1	2.575	53

Structural model:
a = 3.2603 Å, b = 7.8713 Å, c = 8.1081 Å
α = 98.99°, β = 98.33°, γ = 101.56°
Space group P-1 (No. 2)
Inequivalent atoms, fractional coordinates:
Zn (0.1988, 0.1951, 0.3069)
Ag (0.1679, 0.4581, 0.6787)
Ag (0.4257, 0.1842, 0.9666)
O (0.0689, 0.2376, 0.7696)
O (0.1975, 0.6783, 0.5569)
O (0.3392, 0.3839, 0.1434)
O (0.3830, 0.9323, 0.8257)


The following is a theoretical PXRD pattern of ZnAg2O4. It was derived from a cell relaxed with GGA-PBE, using Cu Ka.
Lines closer than 0.1° are merged.

Main lines, in order of rising 2θ (2θ from 10° to 90°):
h k l	d [Å]	Rel. int.
1 1 1	2.920	26
0 2 3	2.817	100
0 4 0	2.704	36
1 1 2	2.601	32
1 3 1	2.321	29
1 3 2	2.150	26

Structural model:
a = 3.1864 Å, b = 10.8173 Å, c = 9.8980 Å
α = 90.00°, β = 90.00°, γ = 90.00°
Space group Pbcm (No. 57)
Inequivalent atoms, fractional coordinates:
Zn (0.1851, 0.1512, 0.2500)
Ag (0.3232, 0.6155, 0.5706)
O (0.0459, 0.2500, 0.0000)
O (0.3027, 0.7153, 0.7500)
O (0.3748, 0.5485, 0.1238)


The following is a theoretical PXRD pattern of ZnAg2O4. It was derived from a cell relaxed with GGA-PBE, using Cu Ka.
Lines closer than 0.1° are merged.

Main lines, in order of rising 2θ (2θ from 10° to 90°):
h k l	d [Å]	Rel. int.
0 2 4	2.755	94
2 2 -2	2.739	67
1 1 -7	2.704	54
4 0 0	2.674	100
2 2 -10	1.728	52
2 2 10	1.602	55

Structural model:
a = 10.8222 Å, b = 6.5063 Å, c = 20.9752 Å
α = 90.00°, β = 98.79°, γ = 90.00°
Space group Cm (No. 8)
Inequivalent atoms, fractional coordinates:
Zn (0.0000, 0.0000, 0.0000)
Zn (0.0008, 0.5000, 0.5001)
Zn (0.1240, 0.0000, 0.8762)
Zn (0.2322, 0.5000, 0.6548)
Zn (0.2497, 0.5000, 0.2481)
Zn (0.2513, 0.0000, 0.7525)
Zn (0.3752, 0.5000, 0.1241)
Zn (0.4832, 0.5000, 0.4069)
Ag (0.0015, 0.2463, 0.7504)
Ag (0.0176, 0.5000, 0.0920)
Ag (0.0210, 0.0000, 0.5937)
Ag (0.1247, 0.5000, 0.3748)
Ag (0.2335, 0.0000, 0.1582)
Ag (0.2499, 0.2497, 0.0000)
Ag (0.2500, 0.2514, 0.4999)
Ag (0.2673, 0.5000, 0.8425)
Ag (0.2718, 0.0000, 0.3429)
Ag (0.3767, 0.0000, 0.6267)
Ag (0.4825, 0.0000, 0.9073)
Ag (0.4983, 0.2544, 0.2496)
O (0.0525, 0.0000, 0.1916)
O (0.0599, 0.5000, 0.1962)
O (0.0652, 0.0000, 0.7002)
O (0.0687, 0.5000, 0.6878)
O (0.0712, 0.2706, 0.4402)
O (0.0768, 0.2118, 0.9424)
O (0.1721, 0.2139, 0.8101)
O (0.1716, 0.2842, 0.3075)
O (0.1867, 0.5000, 0.5557)
O (0.1892, 0.0000, 0.0536)
O (0.1944, 0.0000, 0.5616)
O (0.1976, 0.5000, 0.0575)
O (0.3022, 0.0000, 0.9422)
O (0.3100, 0.5000, 0.9468)
O (0.3125, 0.0000, 0.4493)
O (0.3193, 0.5000, 0.4390)
O (0.3230, 0.2337, 0.6899)
O (0.3267, 0.2896, 0.1922)
O (0.4223, 0.2172, 0.5600)
O (0.4230, 0.2878, 0.0572)
O (0.4373, 0.0000, 0.7987)
O (0.4367, 0.5000, 0.3096)
O (0.4423, 0.0000, 0.3044)
O (0.4450, 0.5000, 0.8129)


The following is a theoretical PXRD pattern of Ag3P. It was derived from a cell relaxed with GGA-PBE, using Cu Ka.
Lines closer than 0.1° are merged.

Main lines, in order of rising 2θ (2θ from 10° to 90°):
h k l	d [Å]	Rel. int.
1 0 1	3.671	15
1 1 2	2.378	100
0 0 4	2.098	17
2 0 0	2.041	31
2 0 4	1.463	20
3 1 2	1.234	23

Structural model:
a = 4.0816 Å, b = 4.0816 Å, c = 8.3934 Å
α = 90.00°, β = 90.00°, γ = 90.00°
Space group I4/mmm (No. 139)
Inequivalent atoms, fractional coordinates:
Ag (0.0000, 0.0000, 0.0000)
Ag (0.0000, 0.5000, 0.2500)
P (0.0000, 0.0000, 0.5000)


The following is a theoretical PXRD pattern of AgP2. It was derived from a cell relaxed with GGA-PBE, using Cu Ka.
Lines closer than 0.1° are merged.

Main lines, in order of rising 2θ (2θ from 10° to 90°):
h k l	d [Å]	Rel. int.
0 1 1	4.180	40
1 1 1	3.063	100
2 0 -2	2.874	27
1 1 -3	2.339	36
3 1 -1	1.915	24
2 0 2	1.911	28

Structural model:
a = 6.2592 Å, b = 5.1181 Å, c = 7.8947 Å
α = 90.00°, β = 113.42°, γ = 90.00°
Space group P2_1/c (No. 14)
Inequivalent atoms, fractional coordinates:
Ag (0.1441, 0.0468, 0.4020)
P (0.2767, 0.7319, 0.6996)
P (0.4110, 0.0936, 0.0840)


The following is a theoretical PXRD pattern of AgPPd5. It was derived from a cell relaxed with GGA-PBE, using Cu Ka.
Lines closer than 0.1° are merged.

Main lines, in order of rising 2θ (2θ from 10° to 90°):
h k l	d [Å]	Rel. int.
1 1 1	2.605	49
0 0 3	2.335	25
1 1 2	2.190	100
2 0 0	1.984	48
2 0 3	1.512	25
3 1 2	1.181	26

Structural model:
a = 3.9688 Å, b = 3.9688 Å, c = 7.0052 Å
α = 90.00°, β = 90.00°, γ = 90.00°
Space group P4/mmm (No. 123)
Inequivalent atoms, fractional coordinates:
Ag (0.0000, 0.0000, 0.0000)
P (0.5000, 0.5000, 0.5000)
Pd (0.0000, 0.5000, 0.3005)
Pd (0.5000, 0.5000, 0.0000)


The following is a theoretical PXRD pattern of AgPPt5. It was derived from a cell relaxed with GGA-PBE, using Cu Ka.
Lines closer than 0.1° are merged.

Main lines, in order of rising 2θ (2θ from 10° to 90°):
h k l	d [Å]	Rel. int.
1 1 1	2.607	42
0 0 3	2.373	25
1 1 2	2.202	100
2 0 0	1.982	47
2 0 3	1.521	25
3 1 2	1.182	28

Structural model:
a = 3.9630 Å, b = 3.9630 Å, c = 7.1180 Å
α = 90.00°, β = 90.00°, γ = 90.00°
Space group P4/mmm (No. 123)
Inequivalent atoms, fractional coordinates:
Ag (0.0000, 0.0000, 0.0000)
P (0.5000, 0.5000, 0.5000)
Pt (0.0000, 0.5000, 0.2970)
Pt (0.5000, 0.5000, 0.0000)


The following is a theoretical PXRD pattern of Ag4P2S7. It was derived from a cell relaxed with GGA-PBE, using Cu Ka.
Lines closer than 0.1° are merged.

Main lines, in order of rising 2θ (2θ from 10° to 90°):
h k l	d [Å]	Rel. int.
2 0 -2	5.083	97
1 1 3	3.598	97
0 2 0	3.328	95
1 1 -5	2.961	77
3 1 1	2.914	74
2 2 -2	2.784	100

Structural model:
a = 10.9519 Å, b = 6.6556 Å, c = 16.5334 Å
α = 90.00°, β = 106.11°, γ = 90.00°
Space group C2/c (No. 15)
Inequivalent atoms, fractional coordinates:
Ag (0.0415, 0.2196, 0.0550)
Ag (0.2418, 0.2037, 0.6629)
P (0.1081, 0.1750, 0.8564)
S (0.0000, 0.0052, 0.7500)
S (0.0052, 0.3572, 0.5974)
S (0.1698, 0.0695, 0.4319)
S (0.2439, 0.1808, 0.1762)


The following is a theoretical PXRD pattern of AgPS3. It was derived from a cell relaxed with GGA-PBE, using Cu Ka.
Lines closer than 0.1° are merged.

Main lines, in order of rising 2θ (2θ from 10° to 90°):
h k l	d [Å]	Rel. int.
0 0 1	6.257	93
2 0 0	4.480	49
2 0 -2	3.801	74
2 2 0	2.827	100
2 2 -2	2.631	44
0 2 2	2.374	48

Structural model:
a = 11.0009 Å, b = 7.2897 Å, c = 7.6822 Å
α = 90.00°, β = 125.47°, γ = 90.00°
Space group C2/m (No. 12)
Inequivalent atoms, fractional coordinates:
Ag (0.0000, 0.2462, 0.0000)
P (0.1445, 0.0000, 0.7074)
S (0.0000, 0.2142, 0.5000)
S (0.1681, 0.5000, 0.2810)
S (0.1711, 0.0000, 0.9905)